[1]
Starting from DFT lattice parameters and positions (PBE), the X-ray powder pattern of Zn2P3S9 was calculated for a wavelength of 1.5418 Å.
Peak positions follow from Bragg's law for the DFT cell and can differ from measured ones.

Atomic structure:
```
data_Zn2P3S9
_cell_length_a 18.892
_cell_length_b 10.795
_cell_length_c 7.193
_cell_angle_alpha 90.00
_cell_angle_beta 95.24
_cell_angle_gamma 90.00
_space_group_name_H-M_alt 'C 1 2/m 1'
_space_group_IT_number 12
_space_group_name_Hall '-C 2y'
loop_
_atom_site_label
_atom_site_fract_x
_atom_site_fract_y
_atom_site_fract_z
_atom_site_occupancy
Zn1 0.124 0.171 0.158 1
P1 0.023 0.000 0.861 1
P2 0.129 0.500 0.187 1
P3 0.224 0.500 0.890 1
S1 0.070 0.000 0.317 1
S2 0.078 0.160 0.841 1
S3 0.088 0.352 0.308 1
S4 0.112 0.500 0.888 1
S5 0.242 0.500 0.190 1
S6 0.247 0.159 0.227 1
```

Peak list (8 most intense, 2θ = 15–90°, in order of rising 2θ)
| hkl | Position (°2θ) | I (rel.) |
| --- | --- | --- |
| 2 0 1 | 16.2 | 100 |
| 0 0 2 | 24.9 | 85 |
| 1 3 -1 | 28.0 | 95 |
| 6 0 0 | 28.5 | 65 |
| 3 3 0 | 28.6 | 57 |
| 3 3 -1 | 30.7 | 84 |
| 5 3 -1 | 36.0 | 54 |
| 9 3 -1 | 51.1 | 58 |


[2]
Starting from DFT lattice parameters and positions (PBE), the X-ray powder pattern of Zn3P2S8 was calculated for a wavelength of 1.5418 Å.
Peak positions follow from Bragg's law for the DFT cell and can differ from measured ones.

Atomic structure:
```
data_Zn3P2S8
_cell_length_a 7.904
_cell_length_b 7.904
_cell_length_c 9.187
_cell_angle_alpha 90.00
_cell_angle_beta 90.00
_cell_angle_gamma 90.00
_space_group_name_H-M_alt 'P -4 n 2'
_space_group_IT_number 118
_space_group_name_Hall 'P -4 -2n'
loop_
_atom_site_label
_atom_site_fract_x
_atom_site_fract_y
_atom_site_fract_z
_atom_site_occupancy
Zn1 0.000 0.000 0.000 1
Zn2 0.000 0.500 0.016 1
P1 0.242 0.258 0.250 1
S1 0.024 0.749 0.861 1
S2 0.033 0.236 0.375 1
```

Peak list (8 most intense, 2θ = 15–90°, in order of rising 2θ)
| hkl | Position (°2θ) | I (rel.) |
| --- | --- | --- |
| 1 1 1 | 18.6 | 24 |
| 2 0 0 | 22.5 | 14 |
| 2 0 2 | 29.8 | 100 |
| 2 2 2 | 37.7 | 11 |
| 4 0 0 | 45.9 | 25 |
| 2 2 4 | 51.5 | 35 |
| 4 2 2 | 55.7 | 26 |
| 6 2 4 | 89.2 | 11 |


[3]
Starting from DFT lattice parameters and positions (PBE), the X-ray powder pattern of ZnP2S4 was calculated for a wavelength of 1.5418 Å.
Peak positions follow from Bragg's law for the DFT cell and can differ from measured ones.

Atomic structure:
```
data_ZnP2S4
_cell_length_a 6.925
_cell_length_b 6.925
_cell_length_c 6.391
_cell_angle_alpha 90.00
_cell_angle_beta 90.00
_cell_angle_gamma 90.00
_space_group_name_H-M_alt 'I 4/m'
_space_group_IT_number 87
_space_group_name_Hall '-I 4'
loop_
_atom_site_label
_atom_site_fract_x
_atom_site_fract_y
_atom_site_fract_z
_atom_site_occupancy
Zn1 0.000 0.000 0.000 1
P1 0.000 0.500 0.250 1
S1 0.166 0.688 0.000 1
```

Peak list (8 most intense, 2θ = 15–90°, in order of rising 2θ)
| hkl | Position (°2θ) | I (rel.) |
| --- | --- | --- |
| 1 0 1 | 18.9 | 97 |
| 0 0 2 | 27.9 | 30 |
| 2 1 1 | 32.1 | 100 |
| 1 1 2 | 33.5 | 41 |
| 2 2 0 | 36.7 | 44 |
| 3 1 2 | 50.5 | 74 |
| 2 1 3 | 52.1 | 22 |
| 1 4 1 | 56.7 | 26 |


[4]
Starting from DFT lattice parameters and positions (PBE), the X-ray powder pattern of ZrP2S2 was calculated for a wavelength of 1.5418 Å.
Peak positions follow from Bragg's law for the DFT cell and can differ from measured ones.

Atomic structure:
```
data_ZrP2S2
_cell_length_a 4.469
_cell_length_b 4.469
_cell_length_c 4.446
_cell_angle_alpha 90.00
_cell_angle_beta 90.00
_cell_angle_gamma 90.00
_space_group_name_H-M_alt 'P 4/m m m'
_space_group_IT_number 123
_space_group_name_Hall '-P 4 2'
loop_
_atom_site_label
_atom_site_fract_x
_atom_site_fract_y
_atom_site_fract_z
_atom_site_occupancy
Zr1 0.000 0.000 0.000 1
P1 0.500 0.500 0.000 1
P2 0.500 0.500 0.500 1
S1 0.000 0.500 0.500 1
```

Peak list (8 most intense, 2θ = 15–90°, in order of rising 2θ)
| hkl | Position (°2θ) | I (rel.) |
| --- | --- | --- |
| 1 0 1 | 28.3 | 87 |
| 1 1 1 | 34.8 | 100 |
| 2 0 0 | 40.4 | 62 |
| 0 0 2 | 40.6 | 30 |
| 2 1 1 | 50.0 | 24 |
| 2 0 2 | 58.6 | 39 |
| 3 1 1 | 69.8 | 24 |
| 2 2 2 | 73.5 | 20 |


[5]
Starting from DFT lattice parameters and positions (PBE), the X-ray powder pattern of Zr3PS3 was calculated for a wavelength of 1.5418 Å.
Peak positions follow from Bragg's law for the DFT cell and can differ from measured ones.

Atomic structure:
```
data_Zr3PS3
_cell_length_a 10.450
_cell_length_b 10.450
_cell_length_c 10.450
_cell_angle_alpha 90.00
_cell_angle_beta 90.00
_cell_angle_gamma 90.00
_space_group_name_H-M_alt 'I 41 3 2'
_space_group_IT_number 214
_space_group_name_Hall 'I 4bd 2c 3'
loop_
_atom_site_label
_atom_site_fract_x
_atom_site_fract_y
_atom_site_fract_z
_atom_site_occupancy
Zr1 0.120 0.370 0.125 1
P1 0.125 0.125 0.125 1
S1 0.123 0.127 0.625 1
```

Peak list (8 most intense, 2θ = 15–90°, in order of rising 2θ)
| hkl | Position (°2θ) | I (rel.) |
| --- | --- | --- |
| 2 1 1 | 20.8 | 15 |
| 2 2 2 | 29.6 | 25 |
| 3 2 1 | 32.0 | 17 |
| 4 0 0 | 34.3 | 100 |
| 4 4 0 | 49.3 | 67 |
| 6 2 2 | 58.6 | 12 |
| 4 4 4 | 61.5 | 22 |
| 8 4 0 | 82.6 | 28 |


[6]
Starting from DFT lattice parameters and positions (PBE), the X-ray powder pattern of ZrP2S8 was calculated for a wavelength of 1.5418 Å.
Peak positions follow from Bragg's law for the DFT cell and can differ from measured ones.

Atomic structure:
```
data_ZrP2S8
_cell_length_a 6.7877
_cell_length_b 6.7877
_cell_length_c 6.9124
_cell_angle_alpha 90.00
_cell_angle_beta 90.00
_cell_angle_gamma 120.00
_space_group_name_H-M_alt 'P -3 m 1'
_space_group_IT_number 164
_space_group_name_Hall '-P 3 2"'
loop_
_atom_site_label
_atom_site_fract_x
_atom_site_fract_y
_atom_site_fract_z
_atom_site_occupancy
Zr1 0.0000 0.0000 0.0000 1
P1 0.3333 0.6667 0.6791 1
S1 0.1650 0.3300 0.7606 1
S2 0.3333 0.6667 0.3922 1
```

Peak list (8 most intense, 2θ = 15–90°, in order of rising 2θ)
| hkl | Position (°2θ) | I (rel.) |
| --- | --- | --- |
| 1 0 0 | 15.1 | 15 |
| 1 0 1 | 19.8 | 100 |
| 1 1 0 | 26.3 | 25 |
| 2 0 1 | 33.1 | 46 |
| 1 1 2 | 37.1 | 14 |
| 2 0 2 | 40.3 | 26 |
| 2 1 1 | 42.7 | 24 |
| 2 2 0 | 54.0 | 21 |